(1)
This entry pairs a crystal structure of Dy5Y12Ho2 with its theoretical powder diffraction line list. Radiation: Cu Kα. Structure: the PBE geometry in Alexandria.

Peak list (8 most intense, 10° ≤ 2θ ≤ 80°, sorted by position)
| (hkl) | 2theta | d (Å) | I_rel |
| --- | --- | --- | --- |
| 2 1 1 | 30.8 | 2.904 | 100 |
| 1 1 4 | 35.7 | 2.518 | 34 |
| 1 3 -1 | 35.8 | 2.511 | 17 |
| 2 4 3 | 51.4 | 1.779 | 23 |
| 3 2 5 | 61.0 | 1.519 | 7 |
| 0 1 7 | 61.1 | 1.518 | 17 |
| 3 4 0 | 61.2 | 1.515 | 14 |
| 4 2 2 | 64.1 | 1.453 | 9 |

Crystal structure
```
data_Dy5Y12Ho2
_chemical_formula_sum 'Dy5 Y12 Ho2'
_cell_length_a 6.165
_cell_length_b 9.399
_cell_length_c 10.686
_cell_angle_alpha 78.96
_cell_angle_beta 84.43
_cell_angle_gamma 89.99
_symmetry_space_group_name_H-M 'P -1'
_symmetry_Int_Tables_number 2
loop_
_symmetry_equiv_pos_as_xyz
'x,y,z'
'-x,-y,-z'
loop_
_atom_site_label
_atom_site_type_symbol
_atom_site_fract_x
_atom_site_fract_y
_atom_site_fract_z
_atom_site_occupancy
Dy1 Dy 0.000 0.000 0.000 1
Dy2 Dy 0.157 0.632 0.052 1
Dy3 Dy 0.422 0.685 0.474 1
Y1 Y 0.052 0.210 0.684 1
Y2 Y 0.106 0.421 0.369 1
Y3 Y 0.211 0.843 0.736 1
Y4 Y 0.315 0.263 0.105 1
Y5 Y 0.368 0.474 0.789 1
Y6 Y 0.473 0.894 0.158 1
Ho1 Ho 0.264 0.052 0.422 1
```



(2)
This entry pairs a crystal structure of Dy12Y6Ho with its theoretical powder diffraction line list. Radiation: Cu Kα. Structure: the PBE geometry in Alexandria.

Peak list (8 most intense, 10° ≤ 2θ ≤ 80°, sorted by position)
| (hkl) | 2theta | d (Å) | I_rel |
| --- | --- | --- | --- |
| 1 1 3 | 25.1 | 3.546 | 20 |
| 1 3 1 | 29.2 | 3.063 | 20 |
| 1 0 4 | 29.4 | 3.043 | 43 |
| 0 3 3 | 31.7 | 2.821 | 100 |
| 4 0 1 | 32.2 | 2.776 | 77 |
| 0 4 2 | 34.6 | 2.593 | 55 |
| 4 4 0 | 56.0 | 1.643 | 22 |
| 4 3 4 | 57.2 | 1.610 | 23 |

Crystal structure
```
data_Dy12Y6Ho
_chemical_formula_sum 'Dy36 Y18 Ho3'
_cell_length_a 13.1434
_cell_length_b 13.1434
_cell_length_c 12.6302
_cell_angle_alpha 90.00
_cell_angle_beta 90.00
_cell_angle_gamma 120.00
_symmetry_space_group_name_H-M 'R -3 m'
_symmetry_Int_Tables_number 166
_symmetry_space_group_name_Hall '-R 3 2"'
loop_
_atom_site_label
_atom_site_type_symbol
_atom_site_fract_x
_atom_site_fract_y
_atom_site_fract_z
_atom_site_occupancy
Dy1 Dy 0.0000 0.2571 0.0000 1
Dy2 Dy 0.0911 0.1823 0.7643 1
Y1 Y 0.0393 0.5197 0.1196 1
Ho1 Ho 0.0000 0.0000 0.5000 1
```



(3)
This entry pairs a crystal structure of Dy3Y4Ho4 with its theoretical powder diffraction line list. Radiation: Cu Kα. Structure: the PBE geometry in Alexandria.

Peak list (8 most intense, 10° ≤ 2θ ≤ 80°, sorted by position)
| (hkl) | 2theta | d (Å) | I_rel |
| --- | --- | --- | --- |
| 1 1 2 | 30.6 | 2.926 | 13 |
| 1 0 4 | 31.1 | 2.880 | 25 |
| 1 1 -1 | 31.8 | 2.813 | 55 |
| 0 2 1 | 32.0 | 2.797 | 100 |
| 1 2 5 | 45.2 | 2.007 | 18 |
| 0 3 7 | 57.0 | 1.615 | 19 |
| 2 2 2 | 62.6 | 1.483 | 29 |
| 0 4 2 | 66.9 | 1.399 | 11 |

Crystal structure
```
data_Dy3Y4Ho4
_chemical_formula_sum 'Dy3 Y4 Ho4'
_cell_length_a 3.498
_cell_length_b 5.598
_cell_length_c 18.058
_cell_angle_alpha 81.11
_cell_angle_beta 84.46
_cell_angle_gamma 90.00
_symmetry_space_group_name_H-M 'P -1'
_symmetry_Int_Tables_number 2
loop_
_symmetry_equiv_pos_as_xyz
'x,y,z'
'-x,-y,-z'
loop_
_atom_site_label
_atom_site_type_symbol
_atom_site_fract_x
_atom_site_fract_y
_atom_site_fract_z
_atom_site_occupancy
Dy1 Dy 0.000 0.000 0.000 1
Dy2 Dy 0.136 0.636 0.727 1
Y1 Y 0.267 0.267 0.466 1
Y2 Y 0.409 0.910 0.181 1
Ho1 Ho 0.320 0.820 0.361 1
Ho2 Ho 0.455 0.455 0.091 1
```



(4)
This entry pairs a crystal structure of Dy2Y6Ho3 with its theoretical powder diffraction line list. Radiation: Cu Kα. Structure: the PBE geometry in Alexandria.

Peak list (8 most intense, 10° ≤ 2θ ≤ 80°, sorted by position)
| (hkl) | 2theta | d (Å) | I_rel |
| --- | --- | --- | --- |
| 1 1 0 | 26.8 | 3.332 | 47 |
| 1 1 4 | 28.9 | 3.093 | 100 |
| 1 0 9 | 30.7 | 2.912 | 27 |
| 1 1 8 | 34.5 | 2.602 | 68 |
| 1 0 11 | 35.2 | 2.549 | 28 |
| 2 0 0 | 38.2 | 2.356 | 73 |
| 2 2 0 | 55.1 | 1.666 | 26 |
| 1 1 20 | 62.3 | 1.491 | 38 |

Crystal structure
```
data_Dy2Y6Ho3
_chemical_formula_sum 'Dy4 Y12 Ho6'
_cell_length_a 4.711
_cell_length_b 4.711
_cell_length_c 33.348
_cell_angle_alpha 90.00
_cell_angle_beta 90.00
_cell_angle_gamma 90.00
_symmetry_space_group_name_H-M 'I 4/m m m'
_symmetry_Int_Tables_number 139
_symmetry_space_group_name_Hall '-I 4 2'
loop_
_atom_site_label
_atom_site_type_symbol
_atom_site_fract_x
_atom_site_fract_y
_atom_site_fract_z
_atom_site_occupancy
Dy1 Dy 0.000 0.000 0.045 1
Y1 Y 0.000 0.000 0.199 1
Y2 Y 0.000 0.500 0.121 1
Ho1 Ho 0.000 0.000 0.302 1
Ho2 Ho 0.000 0.000 0.500 1
```



(5)
This entry pairs a crystal structure of Dy2YHo12 with its theoretical powder diffraction line list. Radiation: Cu Kα. Structure: the PBE geometry in Alexandria.

Peak list (8 most intense, 10° ≤ 2θ ≤ 80°, sorted by position)
| (hkl) | 2theta | d (Å) | I_rel |
| --- | --- | --- | --- |
| 0 1 7 | 30.7 | 2.910 | 64 |
| 1 1 -3 | 31.2 | 2.865 | 100 |
| 0 2 0 | 32.1 | 2.787 | 82 |
| 1 0 5 | 32.5 | 2.753 | 57 |
| 0 1 8 | 34.1 | 2.632 | 42 |
| 1 1 -5 | 34.3 | 2.614 | 46 |
| 1 2 5 | 46.3 | 1.959 | 30 |
| 2 2 -1 | 61.8 | 1.502 | 28 |

Crystal structure
```
data_Dy2YHo12
_chemical_formula_sum 'Dy2 Y1 Ho12'
_cell_length_a 3.565
_cell_length_b 5.574
_cell_length_c 23.947
_cell_angle_alpha 90.00
_cell_angle_beta 94.24
_cell_angle_gamma 90.00
_symmetry_space_group_name_H-M 'P 1 2/m 1'
_symmetry_Int_Tables_number 10
loop_
_symmetry_equiv_pos_as_xyz
'x,y,z'
'-x,-y,-z'
'-x,y,-z'
'x,-y,z'
loop_
_atom_site_label
_atom_site_type_symbol
_atom_site_fract_x
_atom_site_fract_y
_atom_site_fract_z
_atom_site_occupancy
Dy1 Dy 0.141 0.000 0.281 1
Y1 Y 0.500 0.000 0.000 1
Ho1 Ho 0.035 0.500 0.066 1
Ho2 Ho 0.069 0.000 0.136 1
Ho3 Ho 0.223 0.500 0.444 1
Ho4 Ho 0.288 0.000 0.577 1
Ho5 Ho 0.334 0.500 0.671 1
Ho6 Ho 0.402 0.500 0.807 1
```



(6)
This entry pairs a crystal structure of Dy4Y2Ho7 with its theoretical powder diffraction line list. Radiation: Cu Kα. Structure: the PBE geometry in Alexandria.

Peak list (8 most intense, 10° ≤ 2θ ≤ 80°, sorted by position)
| (hkl) | 2theta | d (Å) | I_rel |
| --- | --- | --- | --- |
| 2 1 0 | 31.0 | 2.888 | 100 |
| 1 3 2 | 35.9 | 2.501 | 51 |
| 2 3 -1 | 51.6 | 1.770 | 12 |
| 3 2 3 | 51.7 | 1.767 | 24 |
| 1 5 1 | 61.4 | 1.509 | 18 |
| 4 0 1 | 61.5 | 1.507 | 25 |
| 4 2 0 | 64.6 | 1.443 | 9 |
| 2 6 4 | 76.2 | 1.250 | 4 |

Crystal structure
```
data_Dy4Y2Ho7
_chemical_formula_sum 'Dy4 Y2 Ho7'
_cell_length_a 6.119
_cell_length_b 7.907
_cell_length_c 9.360
_cell_angle_alpha 65.11
_cell_angle_beta 83.77
_cell_angle_gamma 82.57
_symmetry_space_group_name_H-M 'P -1'
_symmetry_Int_Tables_number 2
loop_
_symmetry_equiv_pos_as_xyz
'x,y,z'
'-x,-y,-z'
loop_
_atom_site_label
_atom_site_type_symbol
_atom_site_fract_x
_atom_site_fract_y
_atom_site_fract_z
_atom_site_occupancy
Dy1 Dy 0.037 0.422 0.347 1
Dy2 Dy 0.192 0.116 0.730 1
Y1 Y 0.345 0.807 0.115 1
Ho1 Ho 0.115 0.271 0.039 1
Ho2 Ho 0.269 0.962 0.423 1
Ho3 Ho 0.423 0.655 0.807 1
Ho4 Ho 0.500 0.500 0.500 1
```



(7)
This entry pairs a crystal structure of Dy5YHo5 with its theoretical powder diffraction line list. Radiation: Cu Kα. Structure: the PBE geometry in Alexandria.

Peak list (8 most intense, 10° ≤ 2θ ≤ 80°, sorted by position)
| (hkl) | 2theta | d (Å) | I_rel |
| --- | --- | --- | --- |
| 0 2 -1 | 31.6 | 2.835 | 56 |
| 2 0 -1 | 31.9 | 2.809 | 100 |
| 0 2 2 | 32.2 | 2.783 | 71 |
| 2 2 1 | 32.4 | 2.766 | 96 |
| 2 0 2 | 32.9 | 2.722 | 74 |
| 0 0 3 | 33.9 | 2.643 | 65 |
| 1 -2 0 | 33.9 | 2.642 | 25 |
| 4 0 1 | 56.8 | 1.621 | 27 |

Crystal structure
```
data_Dy5YHo5
_chemical_formula_sum 'Dy5 Y1 Ho5'
_cell_length_a 6.801
_cell_length_b 6.949
_cell_length_c 8.283
_cell_angle_alpha 76.12
_cell_angle_beta 76.93
_cell_angle_gamma 72.66
_symmetry_space_group_name_H-M 'P -1'
_symmetry_Int_Tables_number 2
loop_
_symmetry_equiv_pos_as_xyz
'x,y,z'
'-x,-y,-z'
loop_
_atom_site_label
_atom_site_type_symbol
_atom_site_fract_x
_atom_site_fract_y
_atom_site_fract_z
_atom_site_occupancy
Dy1 Dy 0.000 0.000 0.000 1
Dy2 Dy 0.158 0.130 0.358 1
Dy3 Dy 0.327 0.265 0.654 1
Y1 Y 0.000 0.500 0.000 1
Ho1 Ho 0.206 0.638 0.317 1
Ho2 Ho 0.353 0.747 0.720 1
Ho3 Ho 0.500 0.000 0.000 1
```



(8)
This entry pairs a crystal structure of Dy2Y3Ho9 with its theoretical powder diffraction line list. Radiation: Cu Kα. Structure: the PBE geometry in Alexandria.

Peak list (8 most intense, 10° ≤ 2θ ≤ 80°, sorted by position)
| (hkl) | 2theta | d (Å) | I_rel |
| --- | --- | --- | --- |
| 1 -2 2 | 28.5 | 3.132 | 24 |
| 0 2 2 | 31.9 | 2.807 | 24 |
| 1 2 -1 | 32.7 | 2.735 | 100 |
| 1 0 4 | 43.3 | 2.090 | 16 |
| 3 0 -2 | 50.4 | 1.809 | 13 |
| 1 4 1 | 57.4 | 1.606 | 20 |
| 3 2 0 | 60.9 | 1.520 | 19 |
| 2 -3 5 | 61.5 | 1.507 | 11 |

Crystal structure
```
data_Dy2Y3Ho9
_chemical_formula_sum 'Dy2 Y3 Ho9'
_cell_length_a 6.271
_cell_length_b 8.403
_cell_length_c 9.152
_cell_angle_alpha 95.66
_cell_angle_beta 90.05
_cell_angle_gamma 111.87
_symmetry_space_group_name_H-M 'P 1'
_symmetry_Int_Tables_number 1
loop_
_symmetry_equiv_pos_as_xyz
'x,y,z'
loop_
_atom_site_label
_atom_site_type_symbol
_atom_site_fract_x
_atom_site_fract_y
_atom_site_fract_z
_atom_site_occupancy
Dy1 Dy 0.000 0.000 0.000 1
Dy2 Dy 0.144 0.284 0.715 1
Y1 Y 0.430 0.856 0.144 1
Y2 Y 0.714 0.427 0.571 1
Y3 Y 0.951 0.569 0.930 1
Ho1 Ho 0.096 0.856 0.643 1
Ho2 Ho 0.235 0.141 0.358 1
Ho3 Ho 0.285 0.570 0.429 1
Ho4 Ho 0.382 0.425 0.073 1
Ho5 Ho 0.523 0.712 0.786 1
Ho6 Ho 0.571 0.140 0.857 1
Ho7 Ho 0.667 0.997 0.502 1
Ho8 Ho 0.810 0.285 0.215 1
Ho9 Ho 0.857 0.713 0.287 1
```



(9)
This entry pairs a crystal structure of Dy4Y7Ho2 with its theoretical powder diffraction line list. Radiation: Cu Kα. Structure: the PBE geometry in Alexandria.

Peak list (8 most intense, 10° ≤ 2θ ≤ 80°, sorted by position)
| (hkl) | 2theta | d (Å) | I_rel |
| --- | --- | --- | --- |
| 0 1 1 | 12.4 | 7.129 | 4 |
| 2 1 0 | 30.8 | 2.903 | 100 |
| 1 3 2 | 35.7 | 2.514 | 50 |
| 1 -1 4 | 51.4 | 1.779 | 6 |
| 3 2 3 | 51.4 | 1.777 | 29 |
| 0 1 6 | 61.1 | 1.517 | 14 |
| 4 0 1 | 61.2 | 1.515 | 28 |
| 4 2 0 | 64.2 | 1.451 | 9 |

Crystal structure
```
data_Dy4Y7Ho2
_chemical_formula_sum 'Dy4 Y7 Ho2'
_cell_length_a 6.150
_cell_length_b 7.946
_cell_length_c 9.413
_cell_angle_alpha 65.08
_cell_angle_beta 83.80
_cell_angle_gamma 82.57
_symmetry_space_group_name_H-M 'P -1'
_symmetry_Int_Tables_number 2
loop_
_symmetry_equiv_pos_as_xyz
'x,y,z'
'-x,-y,-z'
loop_
_atom_site_label
_atom_site_type_symbol
_atom_site_fract_x
_atom_site_fract_y
_atom_site_fract_z
_atom_site_occupancy
Dy1 Dy 0.040 0.425 0.346 1
Dy2 Dy 0.193 0.117 0.731 1
Y1 Y 0.114 0.268 0.038 1
Y2 Y 0.268 0.962 0.423 1
Y3 Y 0.423 0.654 0.808 1
Y4 Y 0.500 0.500 0.500 1
Ho1 Ho 0.346 0.809 0.115 1
```



(10)
This entry pairs a crystal structure of Dy2YHo4 with its theoretical powder diffraction line list. Radiation: Cu Kα. Structure: the PBE geometry in Alexandria.

Peak list (8 most intense, 10° ≤ 2θ ≤ 80°, sorted by position)
| (hkl) | 2theta | d (Å) | I_rel |
| --- | --- | --- | --- |
| 3 1 -1 | 30.2 | 2.962 | 34 |
| 3 1 0 | 31.5 | 2.843 | 48 |
| 2 0 2 | 31.7 | 2.819 | 100 |
| 6 0 -1 | 32.9 | 2.721 | 45 |
| 1 1 -2 | 33.2 | 2.695 | 45 |
| 7 1 -3 | 48.4 | 1.882 | 20 |
| 9 1 -1 | 58.7 | 1.574 | 20 |
| 2 2 2 | 62.2 | 1.493 | 29 |

Crystal structure
```
data_Dy2YHo4
_chemical_formula_sum 'Dy4 Y2 Ho8'
_cell_length_a 16.657
_cell_length_b 3.521
_cell_length_c 8.679
_cell_angle_alpha 90.00
_cell_angle_beta 119.75
_cell_angle_gamma 90.00
_symmetry_space_group_name_H-M 'C 1 2/m 1'
_symmetry_Int_Tables_number 12
loop_
_symmetry_equiv_pos_as_xyz
'x,y,z'
'-x,-y,-z'
'-x,y,-z'
'x,-y,z'
'x+1/2,y+1/2,z'
'-x+1/2,-y+1/2,-z'
'-x+1/2,y+1/2,-z'
'x+1/2,-y+1/2,z'
loop_
_atom_site_label
_atom_site_type_symbol
_atom_site_fract_x
_atom_site_fract_y
_atom_site_fract_z
_atom_site_occupancy
Dy1 Dy 0.070 0.000 0.430 1
Y1 Y 0.000 0.000 0.000 1
Ho1 Ho 0.142 0.500 0.836 1
Ho2 Ho 0.205 0.500 0.295 1
```



(11)
This entry pairs a crystal structure of DyY5Ho5 with its theoretical powder diffraction line list. Radiation: Cu Kα. Structure: the PBE geometry in Alexandria.

Peak list (8 most intense, 10° ≤ 2θ ≤ 80°, sorted by position)
| (hkl) | 2theta | d (Å) | I_rel |
| --- | --- | --- | --- |
| 3 1 0 | 21.4 | 4.157 | 21 |
| 2 0 -2 | 25.7 | 3.465 | 19 |
| 5 1 0 | 29.6 | 3.016 | 18 |
| 0 2 0 | 30.2 | 2.955 | 58 |
| 6 0 0 | 30.6 | 2.923 | 27 |
| 1 1 2 | 33.7 | 2.661 | 100 |
| 6 2 0 | 43.5 | 2.078 | 21 |
| 1 3 2 | 55.9 | 1.644 | 23 |

Crystal structure
```
data_DyY5Ho5
_chemical_formula_sum 'Dy2 Y10 Ho10'
_cell_length_a 18.847
_cell_length_b 5.912
_cell_length_c 6.930
_cell_angle_alpha 90.00
_cell_angle_beta 111.49
_cell_angle_gamma 90.00
_symmetry_space_group_name_H-M 'C 1 2/m 1'
_symmetry_Int_Tables_number 12
loop_
_symmetry_equiv_pos_as_xyz
'x,y,z'
'-x,-y,-z'
'-x,y,-z'
'x,-y,z'
'x+1/2,y+1/2,z'
'-x+1/2,-y+1/2,-z'
'-x+1/2,y+1/2,-z'
'x+1/2,-y+1/2,z'
loop_
_atom_site_label
_atom_site_type_symbol
_atom_site_fract_x
_atom_site_fract_y
_atom_site_fract_z
_atom_site_occupancy
Dy1 Dy 0.000 0.000 0.000 1
Y1 Y 0.000 0.500 0.000 1
Y2 Y 0.179 0.000 0.425 1
Y3 Y 0.179 0.000 0.933 1
Ho1 Ho 0.000 0.000 0.500 1
Ho2 Ho 0.123 0.500 0.624 1
Ho3 Ho 0.169 0.500 0.169 1
```



(12)
This entry pairs a crystal structure of Dy5Y4Ho2 with its theoretical powder diffraction line list. Radiation: Cu Kα. Structure: the PBE geometry in Alexandria.

Peak list (8 most intense, 10° ≤ 2θ ≤ 80°, sorted by position)
| (hkl) | 2theta | d (Å) | I_rel |
| --- | --- | --- | --- |
| 0 2 4 | 25.0 | 3.559 | 59 |
| 1 1 2 | 28.4 | 3.143 | 65 |
| 0 1 7 | 28.7 | 3.110 | 40 |
| 0 2 6 | 30.5 | 2.935 | 52 |
| 0 3 3 | 31.9 | 2.801 | 80 |
| 1 2 1 | 32.6 | 2.747 | 100 |
| 1 0 7 | 37.4 | 2.407 | 51 |
| 1 3 4 | 42.6 | 2.123 | 47 |

Crystal structure
```
data_Dy5Y4Ho2
_chemical_formula_sum 'Dy10 Y8 Ho4'
_cell_length_a 3.503
_cell_length_b 9.016
_cell_length_c 23.195
_cell_angle_alpha 90.00
_cell_angle_beta 90.00
_cell_angle_gamma 90.00
_symmetry_space_group_name_H-M 'I m m m'
_symmetry_Int_Tables_number 71
_symmetry_space_group_name_Hall '-I 2 2'
loop_
_atom_site_label
_atom_site_type_symbol
_atom_site_fract_x
_atom_site_fract_y
_atom_site_fract_z
_atom_site_occupancy
Dy1 Dy 0.000 0.000 0.000 1
Dy2 Dy 0.000 0.302 0.354 1
Y1 Y 0.000 0.192 0.500 1
Y2 Y 0.000 0.500 0.098 1
Ho1 Ho 0.000 0.500 0.232 1
```